SiGe2PtI: calculated powder X-ray diffraction pattern (Cu Kα X-rays), based on a GGA-PBE-relaxed structure.
Lines closer than 0.1° are merged.

Atomic structure:
Cell lengths 5.1849, 5.1849, 4.6081 Å; angles 90.00, 90.00, 90.00 degrees
Space group P4/mmm (No. 123)
Unique sites:
1 Si 0.0000 0.0000 0.0000
2 Ge 0.0000 0.5000 0.5000
3 Pt 0.0000 0.0000 0.5000
4 I 0.5000 0.5000 0.0000

Main lines, by intensity (2θ = 5–70°):
25.9 deg, rel. 1000, (1 0 1)
34.6 deg, rel. 705, (2 0 0)
43.7 deg, rel. 499, (2 1 1)
53.2 deg, rel. 411, (2 0 2)
24.3 deg, rel. 270, (1 1 0)
39.1 deg, rel. 252, (0 0 2)
49.7 deg, rel. 251, (2 2 0)
65.0 deg, rel. 224, (2 2 2)
19.3 deg, rel. 210, (0 0 1)
17.1 deg, rel. 144, (1 0 0)

PuGeI2: calculated powder X-ray diffraction pattern (Cu Kα X-rays), based on a GGA-PBE-relaxed structure.
Lines closer than 0.1° are merged.

Atomic structure:
Cell lengths 3.9372, 3.9372, 31.5695 Å; angles 90.00, 90.00, 120.00 degrees
Space group R-3m (No. 166, hexagonal axes)
Unique sites:
1 Pu 0.0000 0.0000 0.0000
2 Ge 0.0000 0.0000 0.5000
3 I 0.0000 0.0000 0.0995

Main lines, by intensity (2θ = 5–70°):
26.7 deg, rel. 1000, (0 1 2)
26.3 deg, rel. 905, (1 0 1)
38.9 deg, rel. 777, (1 0 10)
34.8 deg, rel. 487, (0 1 8)
46.1 deg, rel. 479, (1 1 0)
25.4 deg, rel. 319, (0 0 9)
41.1 deg, rel. 286, (0 1 11)
53.4 deg, rel. 256, (1 1 9)
58.6 deg, rel. 239, (1 1 12)
61.8 deg, rel. 200, (0 2 10)

Rb2Ge2I5: calculated powder X-ray diffraction pattern (Cu Kα X-rays), based on a GGA-PBE-relaxed structure.
Lines closer than 0.1° are merged.

Atomic structure:
Cell lengths 9.4723, 8.6970, 8.8740 Å; angles 90.00, 90.00, 90.00 degrees
Space group Amm2 (No. 38)
Unique sites:
1 Rb 0.0000 0.0000 0.0000
2 Rb 0.5000 0.0000 0.0099
3 Ge 0.3251 0.0000 0.4807
4 I 0.0000 0.0000 0.5405
5 I 0.2768 0.2373 0.2739

Main lines, by intensity (2θ = 5–70°):
28.7 deg, rel. 1000, (0 2 2)
27.5 deg, rel. 627, (2 0 2)
27.9 deg, rel. 589, (2 2 0)
40.7 deg, rel. 386, (0 0 4)
50.0 deg, rel. 240, (2 2 4)
50.6 deg, rel. 228, (2 4 2)
48.3 deg, rel. 223, (4 2 2)
41.5 deg, rel. 184, (0 4 0)
28.3 deg, rel. 165, (3 0 0)
31.8 deg, rel. 134, (3 1 1)